(1)
The following is a calculated X-ray diffraction stick pattern of Cd2As3PW2. It was derived from a cell relaxed with GGA-PBE, using copper Kα.

The 12 most intense peaks (2θ = 15–90°), low angle first:
| hkl | two_theta | intensity |
| --- | --- | --- |
| 1 1 1 | 26.12 | 930 |
| 3 1 -1 | 26.50 | 1000 |
| 2 0 -2 | 29.87 | 199 |
| 2 2 -2 | 42.76 | 426 |
| 2 0 2 | 43.58 | 206 |
| 4 2 0 | 44.08 | 403 |
| 6 0 -2 | 44.56 | 194 |
| 1 1 -3 | 50.57 | 158 |
| 1 3 1 | 50.80 | 174 |
| 5 1 -3 | 51.23 | 138 |
| 5 1 1 | 52.88 | 144 |
| 7 1 -1 | 53.52 | 134 |

Crystal structure
```
data_Cd2As3PW2
_space_group_name_H-M_alt 'C 1 2 1'
_space_group_IT_number 5
_cell_length_a 12.6848
_cell_length_b 5.9807
_cell_length_c 5.9839
_cell_angle_alpha 90.00
_cell_angle_beta 116.93
_cell_angle_gamma 90.00
loop_
_space_group_symop_operation_xyz
'x,y,z'
'-x,y,-z'
'x+1/2,y+1/2,z'
'-x+1/2,y+1/2,-z'
loop_
_atom_site_label
_atom_site_type_symbol
_atom_site_fract_x
_atom_site_fract_y
_atom_site_fract_z
Cd1 Cd 0.1198 0.0000 0.3599
As1 As 0.0000 0.6967 0.5000
As2 As 0.2498 0.2328 0.7904
P1 P 0.0000 0.2849 0.0000
W1 W 0.1214 0.4835 0.8761
```

***

(2)
The following is a calculated X-ray diffraction stick pattern of PaCdAs. It was derived from a cell relaxed with GGA-PBE, using copper Kα.

The 11 most intense peaks (2θ = 15–90°), low angle first:
| hkl | two_theta | intensity |
| --- | --- | --- |
| 1 1 1 | 22.27 | 704 |
| 2 0 0 | 25.78 | 6 |
| 2 2 0 | 36.77 | 1000 |
| 3 1 1 | 43.42 | 381 |
| 4 0 0 | 52.99 | 175 |
| 3 3 1 | 58.17 | 164 |
| 4 2 2 | 66.23 | 357 |
| 5 1 1 | 70.83 | 123 |
| 4 4 0 | 78.23 | 112 |
| 5 3 1 | 82.56 | 124 |
| 6 2 0 | 89.71 | 166 |

Crystal structure
```
data_PaCdAs
_space_group_name_H-M_alt 'F -4 3 m'
_space_group_IT_number 216
_space_group_name_Hall 'F -4 2 3'
_cell_length_a 6.9127
_cell_length_b 6.9127
_cell_length_c 6.9127
_cell_angle_alpha 90.00
_cell_angle_beta 90.00
_cell_angle_gamma 90.00
loop_
_atom_site_label
_atom_site_type_symbol
_atom_site_fract_x
_atom_site_fract_y
_atom_site_fract_z
Pa1 Pa 0.0000 0.0000 0.0000
Cd1 Cd 0.2500 0.2500 0.2500
As1 As 0.2500 0.2500 0.7500
```

***

(3)
The following is a calculated X-ray diffraction stick pattern of SrCdAs2Pb. It was derived from a cell relaxed with GGA-PBE, using copper Kα.

The 12 most intense peaks (2θ = 15–90°), low angle first:
| hkl | two_theta | intensity |
| --- | --- | --- |
| 0 2 2 | 26.34 | 331 |
| 1 3 1 | 27.95 | 590 |
| 1 1 2 | 31.68 | 733 |
| 0 4 2 | 32.17 | 213 |
| 1 5 0 | 32.98 | 660 |
| 0 6 1 | 33.99 | 203 |
| 1 3 2 | 35.15 | 1000 |
| 0 2 3 | 38.09 | 201 |
| 2 0 0 | 39.68 | 410 |
| 1 7 1 | 44.13 | 168 |
| 2 2 3 | 56.19 | 232 |
| 1 7 3 | 57.10 | 188 |

Crystal structure
```
data_SrCdAs2Pb
_space_group_name_H-M_alt 'C m c 21'
_space_group_IT_number 36
_cell_length_a 4.5424
_cell_length_b 16.9455
_cell_length_c 7.3810
_cell_angle_alpha 90.00
_cell_angle_beta 90.00
_cell_angle_gamma 90.00
loop_
_space_group_symop_operation_xyz
'x,y,z'
'-x,-y,z+1/2'
'-x,y,z'
'x,-y,z+1/2'
'x+1/2,y+1/2,z'
'-x+1/2,-y+1/2,z+1/2'
'-x+1/2,y+1/2,z'
'x+1/2,-y+1/2,z+1/2'
loop_
_atom_site_label
_atom_site_type_symbol
_atom_site_fract_x
_atom_site_fract_y
_atom_site_fract_z
Sr1 Sr 0.0000 0.1934 0.0000
Cd1 Cd 0.0000 0.3988 0.8337
As1 As 0.0000 0.1804 0.4415
As2 As 0.0000 0.4402 0.4637
Pb1 Pb 0.0000 0.0331 0.6585
```